[1]
For NaB6H6, a crystal structure in Alexandria, relaxed with PBE gives the computed powder diffraction line list in this record (copper Kα).

Atomic structure:
Lattice parameters (Å, degrees): 6.9915 10.5263 9.4104 90.00 132.14 90.00
Atoms (fractional coordinates):
Na1 0.1210 0.1833 0.1454
Na2 0.1210 0.3167 0.6454
Na3 0.8790 0.6833 0.3546
Na4 0.8790 0.8167 0.8546
B1 0.2101 0.0305 0.9291
B2 0.2101 0.4695 0.4291
B3 0.2557 0.5975 0.3317
B4 0.2557 0.9025 0.8317
B5 0.2716 0.0619 0.7781
B6 0.2716 0.4381 0.2781
B7 0.3985 0.6038 0.5743
B8 0.3985 0.8962 0.0743
B9 0.4244 0.1549 0.9885
B10 0.4244 0.3451 0.4885
B11 0.4976 0.5517 0.3282
B12 0.4976 0.9483 0.8282
B13 0.5024 0.0517 0.1718
B14 0.5024 0.4483 0.6718
B15 0.5756 0.6549 0.5115
B16 0.5756 0.8451 0.0115
B17 0.6015 0.1038 0.9257
B18 0.6015 0.3962 0.4257
B19 0.7284 0.5619 0.7219
B20 0.7284 0.9381 0.2219
B21 0.7443 0.0975 0.1683
B22 0.7443 0.4025 0.6683
B23 0.7899 0.5305 0.5709
B24 0.7899 0.9695 0.0709
H1 0.0007 0.0521 0.8755
H2 0.0007 0.4479 0.3755
H3 0.0814 0.6668 0.2109
H4 0.0814 0.8332 0.7109
H5 0.1064 0.1017 0.6179
H6 0.1064 0.3983 0.1179
H7 0.3288 0.6772 0.6299
H8 0.3288 0.8228 0.1299
H9 0.3741 0.2348 0.4838
H10 0.3741 0.2652 0.9838
H11 0.4892 0.5865 0.2023
H12 0.4892 0.9135 0.7023
H13 0.5108 0.0865 0.2977
H14 0.5108 0.4135 0.7977
H15 0.6259 0.7348 0.0162
H16 0.6259 0.7652 0.5162
H17 0.6712 0.1772 0.8701
H18 0.6712 0.3228 0.3701
H19 0.8936 0.6017 0.8821
H20 0.8936 0.8983 0.3821
H21 0.9186 0.1668 0.2891
H22 0.9186 0.3332 0.7891
H23 0.9993 0.5521 0.6245
H24 0.9993 0.9479 0.1245

Main lines, low angle first (10° ≤ 2θ ≤ 90°):
- d 5.813, I 100
- d 4.651, I 6
- d 4.296, I 8
- d 4.202, I 5
- d 3.134, I 6
- d 2.269, I 5

[2]
For PmNd3Rh8, a crystal structure in Alexandria, relaxed with PBE gives the computed powder diffraction line list in this record (copper Kα).

Atomic structure:
Lattice parameters (Å, degrees): 9.3799 9.3799 9.3799 33.54 33.54 33.54
Atoms (fractional coordinates):
Pm1 0.0000 0.0000 0.0000
Nd1 0.1251 0.1251 0.1251
Nd2 0.5001 0.5001 0.5001
Nd3 0.6253 0.6253 0.6253
Rh1 0.0624 0.5625 0.5625
Rh2 0.0627 0.0627 0.5630
Rh3 0.0627 0.5630 0.0627
Rh4 0.3127 0.3127 0.3127
Rh5 0.5625 0.0624 0.5625
Rh6 0.5625 0.5625 0.0624
Rh7 0.5630 0.0627 0.0627
Rh8 0.8126 0.8126 0.8126

Main lines, low angle first (10° ≤ 2θ ≤ 90°):
- d 2.707, I 38
- d 2.308, I 100
- d 2.210, I 30
- d 1.563, I 14
- d 1.473, I 32
- d 1.353, I 26

[3]
For Ni3SbPt4, a crystal structure in Alexandria, relaxed with PBE gives the computed powder diffraction line list in this record (copper Kα).

Atomic structure:
Lattice parameters (Å, degrees): 7.9262 7.9262 7.9262 151.05 151.05 41.41
Atoms (fractional coordinates):
Ni1 0.0000 0.0000 0.0000
Ni2 0.2487 0.2487 0.0000
Ni3 0.7513 0.7513 0.0000
Sb1 0.5000 0.5000 0.0000
Pt1 0.1315 0.6315 0.5000
Pt2 0.3685 0.8685 0.5000
Pt3 0.6315 0.1315 0.5000
Pt4 0.8685 0.3685 0.5000

Main lines, low angle first (10° ≤ 2θ ≤ 90°):
- d 3.707, I 16
- d 2.802, I 16
- d 2.235, I 100
- d 1.981, I 36
- d 1.354, I 19
- d 1.187, I 27

[4]
For NaCaAl4, a crystal structure in Alexandria, relaxed with PBE gives the computed powder diffraction line list in this record (copper Kα).

Atomic structure:
Lattice parameters (Å, degrees): 5.6567 5.6567 5.6567 60.00 60.00 60.00
Atoms (fractional coordinates):
Na1 0.0000 0.0000 0.0000
Ca1 0.7500 0.7500 0.7500
Al1 0.3751 0.3751 0.3751
Al2 0.3751 0.3751 0.8746
Al3 0.3751 0.8746 0.3751
Al4 0.8746 0.3751 0.3751

Main lines, low angle first (10° ≤ 2θ ≤ 90°):
- d 2.828, I 34
- d 2.412, I 100
- d 2.309, I 34
- d 1.540, I 30
- d 1.414, I 25
- d 1.206, I 12